The following is a theoretical powder X-ray diffraction pattern of V3H6O10. It was derived from a crystal structure in Alexandria, relaxed with PBE+U, using Cu Ka.
Peak positions follow from Bragg's law for the DFT cell and can differ from measured ones.

The 8 most intense peaks (2θ = 15–90°), in order of rising 2θ:
2theta, intensity
19.7, 25.5
22.1, 100.0
25.4, 40.3
25.9, 65.2
27.0, 26.7
27.5, 23.8
28.9, 46.8
31.5, 32.5

```
data_V3H6O10
_chemical_formula_sum 'V6 H12 O20'
_cell_length_a 6.2157
_cell_length_b 9.0040
_cell_length_c 9.0089
_cell_angle_alpha 90.00
_cell_angle_beta 95.62
_cell_angle_gamma 90.00
_space_group_name_H-M_alt 'P 1'
_space_group_IT_number 1
_space_group_name_Hall 'P 1'
loop_
_atom_site_label
_atom_site_fract_x
_atom_site_fract_y
_atom_site_fract_z
_atom_site_occupancy
V1 0.0000 0.1084 0.0000 1
V2 0.0000 0.8916 0.5000 1
V3 0.9379 0.3762 0.2702 1
V4 0.9379 0.6238 0.7702 1
V5 0.9835 0.2453 0.6421 1
V6 0.9835 0.7547 0.1421 1
H1 0.3476 0.2870 0.9169 1
H2 0.3476 0.7130 0.4169 1
H3 0.3517 0.1556 0.4120 1
H4 0.3517 0.8444 0.9120 1
H5 0.5098 0.3479 0.0552 1
H6 0.5098 0.6521 0.5552 1
H7 0.5609 0.0617 0.3931 1
H8 0.5609 0.9383 0.8931 1
H9 0.5729 0.2641 0.2997 1
H10 0.5729 0.7359 0.7997 1
H11 0.6183 0.1932 0.9487 1
H12 0.6183 0.8068 0.4487 1
O1 0.0135 0.4498 0.7236 1
O2 0.0135 0.5502 0.2236 1
O3 0.0411 0.3345 0.4477 1
O4 0.0411 0.6655 0.9477 1
O5 0.0472 0.2436 0.1456 1
O6 0.0472 0.7564 0.6456 1
O7 0.1065 0.0610 0.5540 1
O8 0.1065 0.9390 0.0540 1
O9 0.1119 0.1770 0.8448 1
O10 0.1119 0.8230 0.3448 1
O11 0.4628 0.1382 0.3441 1
O12 0.4628 0.8618 0.8441 1
O13 0.4991 0.3152 0.9498 1
O14 0.4991 0.6848 0.4498 1
O15 0.6553 0.3543 0.2487 1
O16 0.6553 0.6457 0.7487 1
O17 0.7217 0.0907 0.9593 1
O18 0.7217 0.9093 0.4593 1
O19 0.7268 0.2126 0.6350 1
O20 0.7268 0.7874 0.1350 1
```

The following is a theoretical powder X-ray diffraction pattern of V3H6O10. It was derived from a crystal structure in Alexandria, relaxed with PBE+U, using Cu Ka.
Peak positions follow from Bragg's law for the DFT cell and can differ from measured ones.

The 8 most intense peaks (2θ = 15–90°), in order of rising 2θ:
2theta, intensity
22.3, 86.7
22.5, 70.6
22.5, 84.0
24.2, 64.2
24.4, 90.7
26.5, 60.3
27.1, 87.4
29.6, 100.0

```
data_V3H6O10
_chemical_formula_sum 'V6 H12 O20'
_cell_length_a 6.1715
_cell_length_b 8.9485
_cell_length_c 9.0108
_cell_angle_alpha 88.72
_cell_angle_beta 83.41
_cell_angle_gamma 79.85
_space_group_name_H-M_alt 'P 1'
_space_group_IT_number 1
_space_group_name_Hall 'P 1'
loop_
_atom_site_label
_atom_site_fract_x
_atom_site_fract_y
_atom_site_fract_z
_atom_site_occupancy
V1 0.0000 0.0000 0.0000 1
V2 0.0061 0.1289 0.6271 1
V3 0.0137 0.6193 0.1251 1
V4 0.0456 0.2600 0.2581 1
V5 0.9600 0.4915 0.7751 1
V6 0.9671 0.7743 0.4878 1
H1 0.3301 0.8543 0.7661 1
H2 0.3348 0.2917 0.4686 1
H3 0.3710 0.3495 0.0423 1
H4 0.5006 0.6965 0.7757 1
H5 0.5587 0.2703 0.5626 1
H6 0.5684 0.8858 0.3357 1
H7 0.5724 0.3873 0.9050 1
H8 0.5804 0.8275 0.5854 1
H9 0.5809 0.3341 0.3924 1
H10 0.5818 0.2075 0.9913 1
H11 0.5918 0.9624 0.1599 1
H12 0.5948 0.7784 0.1897 1
O1 0.0764 0.8118 0.0438 1
O2 0.0771 0.6994 0.3180 1
O3 0.0786 0.3121 0.7110 1
O4 0.0879 0.9235 0.5315 1
O5 0.0901 0.0246 0.8121 1
O6 0.0914 0.5389 0.9225 1
O7 0.1270 0.1121 0.1199 1
O8 0.1409 0.2063 0.4331 1
O9 0.1638 0.4154 0.1863 1
O10 0.4681 0.3393 0.4889 1
O11 0.4825 0.8013 0.7377 1
O12 0.4835 0.3048 0.9585 1
O13 0.5207 0.8870 0.2295 1
O14 0.6754 0.8406 0.4820 1
O15 0.6872 0.4964 0.8291 1
O16 0.7209 0.0542 0.0391 1
O17 0.7328 0.1662 0.6362 1
O18 0.7407 0.6340 0.1501 1
O19 0.7714 0.3055 0.2775 1
O20 0.9889 0.6325 0.6270 1
```

The following is a theoretical powder X-ray diffraction pattern of V3H6O10. It was derived from a crystal structure in Alexandria, relaxed with PBE+U, using Cu Ka.
Peak positions follow from Bragg's law for the DFT cell and can differ from measured ones.

The 8 most intense peaks (2θ = 15–90°), in order of rising 2θ:
2theta, intensity
15.1, 100.0
22.1, 48.5
24.9, 15.5
26.8, 82.4
30.4, 28.4
31.4, 32.3
35.0, 16.2
51.9, 15.5

```
data_V3H6O10
_chemical_formula_sum 'V6 H12 O20'
_cell_length_a 8.9973
_cell_length_b 8.9973
_cell_length_c 5.8830
_cell_angle_alpha 90.00
_cell_angle_beta 90.00
_cell_angle_gamma 90.00
_space_group_name_H-M_alt 'P 1'
_space_group_IT_number 1
_space_group_name_Hall 'P 1'
loop_
_atom_site_label
_atom_site_fract_x
_atom_site_fract_y
_atom_site_fract_z
_atom_site_occupancy
V1 0.0000 0.0000 0.0000 1
V2 0.1393 0.3607 0.0251 1
V3 0.3607 0.8607 0.0251 1
V4 0.5000 0.5000 0.0000 1
V5 0.6393 0.1393 0.0251 1
V6 0.8607 0.6393 0.0251 1
H1 0.0537 0.6776 0.4518 1
H2 0.1776 0.5537 0.4518 1
H3 0.2319 0.2681 0.3962 1
H4 0.2681 0.7681 0.3962 1
H5 0.3224 0.0537 0.4518 1
H6 0.4463 0.1776 0.4518 1
H7 0.5537 0.8224 0.4518 1
H8 0.6776 0.9463 0.4518 1
H9 0.7319 0.2319 0.3962 1
H10 0.7681 0.7319 0.3962 1
H11 0.8224 0.4463 0.4518 1
H12 0.9463 0.3224 0.4518 1
O1 0.0000 0.0000 0.2763 1
O2 0.0000 0.5000 0.9767 1
O3 0.0872 0.1949 0.9125 1
O4 0.1555 0.3445 0.3267 1
O5 0.1591 0.6591 0.4857 1
O6 0.1949 0.9128 0.9125 1
O7 0.3051 0.4128 0.9125 1
O8 0.3409 0.1591 0.4857 1
O9 0.3445 0.8445 0.3267 1
O10 0.4128 0.6949 0.9125 1
O11 0.5000 0.0000 0.9767 1
O12 0.5000 0.5000 0.2763 1
O13 0.5872 0.3051 0.9125 1
O14 0.6555 0.1555 0.3267 1
O15 0.6591 0.8409 0.4857 1
O16 0.6949 0.5872 0.9125 1
O17 0.8051 0.0872 0.9125 1
O18 0.8409 0.3409 0.4857 1
O19 0.8445 0.6555 0.3267 1
O20 0.9128 0.8051 0.9125 1
```

The following is a theoretical powder X-ray diffraction pattern of V3H5O8. It was derived from a crystal structure in Alexandria, relaxed with PBE+U, using Cu Ka.
Peak positions follow from Bragg's law for the DFT cell and can differ from measured ones.

The 8 most intense peaks (2θ = 15–90°), in order of rising 2θ:
2theta, intensity
18.5, 100.0
22.4, 13.6
23.0, 49.4
27.4, 43.5
35.6, 80.8
46.2, 27.8
49.3, 38.5
60.4, 18.1

```
data_V3H5O8
_chemical_formula_sum 'V3 H5 O8'
_cell_length_a 3.0633
_cell_length_b 4.9063
_cell_length_c 10.1175
_cell_angle_alpha 102.26
_cell_angle_beta 98.38
_cell_angle_gamma 90.17
_space_group_name_H-M_alt 'P 1'
_space_group_IT_number 1
_space_group_name_Hall 'P 1'
loop_
_atom_site_label
_atom_site_fract_x
_atom_site_fract_y
_atom_site_fract_z
_atom_site_occupancy
V1 0.0000 0.0000 0.0000 1
V2 0.1225 0.8452 0.3433 1
V3 0.7586 0.1071 0.6167 1
H1 0.2537 0.5327 0.6062 1
H2 0.4576 0.5480 0.9871 1
H3 0.5530 0.4558 0.2050 1
H4 0.6081 0.8220 0.7808 1
H5 0.6405 0.3026 0.3729 1
O1 0.0498 0.9222 0.1815 1
O2 0.2117 0.8290 0.5351 1
O3 0.2862 0.3760 0.6559 1
O4 0.4570 0.7255 0.9533 1
O5 0.4643 0.2486 0.0404 1
O6 0.6030 0.5615 0.3027 1
O7 0.6569 0.1241 0.4094 1
O8 0.8208 0.9811 0.7987 1
```

The following is a theoretical powder X-ray diffraction pattern of V3H5O8. It was derived from a crystal structure in Alexandria, relaxed with PBE+U, using Cu Ka.
Peak positions follow from Bragg's law for the DFT cell and can differ from measured ones.

The 8 most intense peaks (2θ = 15–90°), in order of rising 2θ:
2theta, intensity
19.1, 100.0
23.3, 42.0
28.5, 37.3
35.7, 97.6
47.4, 26.8
50.3, 36.3
59.4, 25.6
62.0, 14.4

```
data_V3H5O8
_chemical_formula_sum 'V3 H5 O8'
_cell_length_a 9.8038
_cell_length_b 9.8038
_cell_length_c 4.7957
_cell_angle_alpha 103.83
_cell_angle_beta 103.83
_cell_angle_gamma 18.26
_space_group_name_H-M_alt 'P 1'
_space_group_IT_number 1
_space_group_name_Hall 'P 1'
loop_
_atom_site_label
_atom_site_fract_x
_atom_site_fract_y
_atom_site_fract_z
_atom_site_occupancy
V1 0.0000 0.0000 0.0000 1
V2 0.6398 0.6398 0.0354 1
V3 0.8185 0.8185 0.5281 1
H1 0.1312 0.1312 0.5686 1
H2 0.2369 0.2369 0.7551 1
H3 0.3245 0.3245 0.0643 1
H4 0.4069 0.4069 0.2811 1
H5 0.5070 0.5070 0.4694 1
O1 0.1018 0.1018 0.2269 1
O2 0.1573 0.1573 0.7802 1
O3 0.2896 0.2896 0.7523 1
O4 0.3516 0.3516 0.2829 1
O5 0.4797 0.4797 0.2587 1
O6 0.5370 0.5370 0.8103 1
O7 0.7266 0.7266 0.2514 1
O8 0.9138 0.9138 0.7794 1
```

The following is a theoretical powder X-ray diffraction pattern of V2Zn3H2O11. It was derived from a crystal structure in Alexandria, relaxed with PBE+U, using Cu Ka.
Peak positions follow from Bragg's law for the DFT cell and can differ from measured ones.

The 8 most intense peaks (2θ = 15–90°), in order of rising 2θ:
2theta, intensity
21.1, 98.4
28.4, 89.6
29.6, 100.0
32.4, 67.4
34.7, 66.4
35.7, 36.6
36.3, 34.4
38.6, 38.2

```
data_V2Zn3H2O11
_chemical_formula_sum 'V2 Zn3 H2 O11'
_cell_length_a 6.2688
_cell_length_b 6.2688
_cell_length_c 7.7058
_cell_angle_alpha 94.45
_cell_angle_beta 94.45
_cell_angle_gamma 55.53
_space_group_name_H-M_alt 'P 1'
_space_group_IT_number 1
_space_group_name_Hall 'P 1'
loop_
_atom_site_label
_atom_site_fract_x
_atom_site_fract_y
_atom_site_fract_z
_atom_site_occupancy
V1 0.0130 0.0130 0.2692 1
V2 0.9870 0.9870 0.7308 1
Zn1 0.0646 0.4721 0.1064 1
Zn2 0.5094 0.4906 0.0000 1
Zn3 0.5279 0.9354 0.8936 1
H1 0.2085 0.3787 0.7968 1
H2 0.6213 0.7915 0.2032 1
O1 0.9997 0.0003 0.5000 1
O2 0.0050 0.4598 0.6214 1
O3 0.1650 0.1635 0.2276 1
O4 0.1903 0.6963 0.1771 1
O5 0.3037 0.8097 0.8229 1
O6 0.3130 0.3170 0.9104 1
O7 0.5402 0.9950 0.3786 1
O8 0.6830 0.6870 0.0896 1
O9 0.7118 0.1843 0.1734 1
O10 0.8157 0.2882 0.8266 1
O11 0.8365 0.8350 0.7724 1
```